This entry pairs a crystal structure of Ba3Nd3Co6O16 with its calculated X-ray powder pattern. Radiation: Cu Ka. Structure: a GGA+U-relaxed structure.
Peak positions follow from Bragg's law for the DFT cell and can differ from measured ones.

Structure:
```
Ba3Nd3Co6O16
1.0
8.172 -2.812 0.000
8.172 2.812 0.000
-5.234 0.000 7.926
Ba Nd Co O
3 3 6 16
direct
0.000 0.000 0.000
0.336 0.336 0.666
0.664 0.664 0.334
0.159 0.159 0.817
0.500 0.500 0.500
0.841 0.841 0.183
0.085 0.085 0.425
0.246 0.246 0.242
0.412 0.412 0.080
0.588 0.588 0.920
0.754 0.754 0.758
0.915 0.915 0.575
0.000 0.000 0.500
0.075 0.561 0.939
0.102 0.581 0.396
0.156 0.156 0.331
0.246 0.711 0.253
0.289 0.754 0.747
0.419 0.898 0.604
0.439 0.925 0.061
0.500 0.500 0.000
0.561 0.075 0.939
0.581 0.102 0.396
0.711 0.246 0.253
0.754 0.289 0.747
0.844 0.844 0.669
0.898 0.419 0.604
0.925 0.439 0.061
```

Top 12 peaks for 15 to 90 degrees two-theta, in order of falling intensity:
2θ = 32.4°, intensity 100
2θ = 31.8°, intensity 46
2θ = 45.6°, intensity 30
2θ = 57.1°, intensity 29
2θ = 39.8°, intensity 15
2θ = 58.3°, intensity 15
2θ = 22.3°, intensity 14
2θ = 47.5°, intensity 12
2θ = 56.9°, intensity 10
2θ = 67.8°, intensity 7
2θ = 68.0°, intensity 7
2θ = 85.7°, intensity 6